This entry pairs a crystal structure of Hf4FeCo with its calculated PXRD pattern. Radiation: Cu Kα (λ = 1.5418 Å). Structure: a crystal structure in Alexandria, relaxed with PBE.
Intensities are scaled so that the largest is 100.

Structure:
a b c (Å): 6.2159 6.2159 5.6200
angles (deg): 90.00 90.00 90.00
Fractional positions:
Hf: 0.1784 0.3216 0.2500
Hf: 0.1784 0.6784 0.7500
Hf: 0.3216 0.1784 0.7500
Hf: 0.3216 0.8216 0.2500
Hf: 0.6784 0.1784 0.2500
Hf: 0.6784 0.8216 0.7500
Hf: 0.8216 0.3216 0.7500
Hf: 0.8216 0.6784 0.2500
Fe: 0.0000 0.0000 0.0000
Fe: 0.5000 0.5000 0.5000
Co: 0.0000 0.0000 0.5000
Co: 0.5000 0.5000 0.0000

Main lines, in order of rising 2θ (10° ≤ 2θ ≤ 90°):
2θ 28.72, rel. 18, hkl 2 0 0; 2θ 31.85, rel. 24, hkl 0 0 2; 2θ 36.05, rel. 100, hkl 2 1 1; 2θ 43.41, rel. 38, hkl 2 0 2; 2θ 46.18, rel. 18, hkl 3 1 0; 2θ 59.50, rel. 24, hkl 2 1 3; 2θ 63.94, rel. 30, hkl 4 1 1; 2θ 72.80, rel. 16, hkl 3 3 2